Li2MnP2O7: computed XRD peak list (a wavelength of 1.5418 Å), based on a crystal structure in Alexandria, relaxed with PBE+U.
No peak broadening, texture or thermal motion is included.

Crystal structure
a = 5.1298 Å, b = 8.5525 Å, c = 7.2675 Å
α = 90.00°, β = 110.30°, γ = 90.00°
Sites, in units of the cell vectors:
1 Li 0.1456 0.0000 0.4055
2 Li 0.3130 0.3290 0.8537
3 Li 0.6870 0.8290 0.1463
4 Li 0.8544 0.5000 0.5945
5 Mn 0.3157 0.6895 0.7731
6 Mn 0.6843 0.1895 0.2269
7 P 0.1131 0.9933 0.9763
8 P 0.2774 0.3845 0.4207
9 P 0.7226 0.8845 0.5793
10 P 0.8869 0.4933 0.0237
11 O 0.0555 0.4857 0.8865
12 O 0.1054 0.5041 0.2480
13 O 0.1207 0.2296 0.3982
14 O 0.2799 0.4692 0.6086
15 O 0.2857 0.1432 0.0030
16 O 0.2917 0.8474 0.9909
17 O 0.4299 0.8657 0.5883
18 O 0.5701 0.3657 0.4117
19 O 0.7083 0.3474 0.0091
20 O 0.7143 0.6432 0.9970
21 O 0.7201 0.9692 0.3914
22 O 0.8793 0.7296 0.6018
23 O 0.8946 0.0041 0.7520
24 O 0.9445 0.9857 0.1135

Largest 10 diffraction maxima, in order of rising 2θ, 2θ from 10° to 80°:
2θ (°)  I/Imax  h k l
16.63  100  0 1 1
21.24  53  1 1 -1
24.58  16  0 2 1
26.12  19  1 0 1
27.95  71  1 2 -1
28.16  32  1 1 1
28.31  39  1 1 -2
33.63  20  0 2 2
37.41  12  2 0 0
51.42  16  0 3 3